Entry 1:
Diffraction record for Cs2H5Pt. The powder X-ray diffraction pattern is computed, not measured: it uses DFT lattice parameters and positions (PBE) and Cu Kα (weighted mean of Kα1 and Kα2).

Crystal structure
a b c (Å): 6.3240 6.3240 8.7952
angles (deg): 90.00 90.00 90.00
Space group I4mm (No. 107)
Asymmetric unit:
1 Cs 0.0000 0.5000 0.0000
2 H 0.0000 0.0000 0.0562
3 H 0.1859 0.1859 0.2506
4 Pt 0.0000 0.0000 0.2444

Largest 10 diffraction maxima, in order of rising 2θ, 2θ from 10° to 80°:
- d = 5.134 Å, rel. 62
- d = 3.162 Å, rel. 51
- d = 3.135 Å, rel. 100
- d = 2.692 Å, rel. 24
- d = 2.660 Å, rel. 12
- d = 2.236 Å, rel. 20
- d = 2.035 Å, rel. 11
- d = 1.820 Å, rel. 41
- d = 1.805 Å, rel. 20
- d = 1.568 Å, rel. 13


Entry 2:
Diffraction record for CsRbH4Pt. The powder X-ray diffraction pattern is computed, not measured: it uses DFT lattice parameters and positions (PBE) and Cu Kα (weighted mean of Kα1 and Kα2).

Crystal structure
a b c (Å): 5.7351 14.3589 5.7122
angles (deg): 90.00 90.00 90.00
Space group Cmcm (No. 63)
Asymmetric unit:
1 Cs 0.0000 0.1001 0.2500
2 Rb 0.0000 0.3836 0.2500
3 H 0.0000 0.1338 0.7500
4 H 0.0000 0.3683 0.7500
5 H 0.2500 0.2500 0.0000
6 Pt 0.0000 0.2508 0.7500

Largest 10 diffraction maxima, in order of rising 2θ, 2θ from 10° to 80°:
- d = 7.179 Å, rel. 26
- d = 3.090 Å, rel. 100
- d = 2.868 Å, rel. 23
- d = 2.856 Å, rel. 23
- d = 2.393 Å, rel. 9
- d = 2.342 Å, rel. 17
- d = 2.024 Å, rel. 17
- d = 1.695 Å, rel. 17
- d = 1.691 Å, rel. 17
- d = 1.545 Å, rel. 9


Entry 3:
Diffraction record for CsRbH2Pt. The powder X-ray diffraction pattern is computed, not measured: it uses DFT lattice parameters and positions (PBE) and Cu Kα (weighted mean of Kα1 and Kα2).

Crystal structure
a b c (Å): 4.3300 5.6622 5.7806
angles (deg): 93.54 90.19 90.20
Space group P1 (No. 1)
Asymmetric unit:
1 Cs 0.0000 0.0000 0.0000
2 Rb 0.0005 0.5009 0.4996
3 H 0.4998 0.2357 0.6956
4 H 0.5009 0.7687 0.3071
5 Pt 0.5004 0.0021 0.5013

Largest 10 diffraction maxima, in order of rising 2θ, 2θ from 10° to 80°:
- d = 5.770 Å, rel. 31
- d = 5.651 Å, rel. 74
- d = 3.463 Å, rel. 47
- d = 3.003 Å, rel. 100
- d = 2.912 Å, rel. 45
- d = 2.898 Å, rel. 44
- d = 2.885 Å, rel. 44
- d = 2.826 Å, rel. 41
- d = 2.165 Å, rel. 22
- d = 1.706 Å, rel. 19


Entry 4:
Diffraction record for CsSbH2Pt. The powder X-ray diffraction pattern is computed, not measured: it uses DFT lattice parameters and positions (PBE) and Cu Kα (weighted mean of Kα1 and Kα2).

Crystal structure
a b c (Å): 4.6304 4.6304 6.1243
angles (deg): 90.00 90.00 120.00
Space group P-6m2 (No. 187)
Asymmetric unit:
1 Cs 0.0000 0.0000 0.0000
2 Sb 0.3333 0.6667 0.5000
3 H 0.6667 0.3333 0.2287
4 Pt 0.6667 0.3333 0.5000

Largest 10 diffraction maxima, in order of rising 2θ, 2θ from 10° to 80°:
- d = 6.124 Å, rel. 26
- d = 3.355 Å, rel. 100
- d = 3.062 Å, rel. 30
- d = 2.315 Å, rel. 42
- d = 2.166 Å, rel. 12
- d = 1.906 Å, rel. 20
- d = 1.847 Å, rel. 42
- d = 1.819 Å, rel. 18
- d = 1.471 Å, rel. 18
- d = 1.277 Å, rel. 13


Entry 5:
Diffraction record for CsSbH2Pt. The powder X-ray diffraction pattern is computed, not measured: it uses DFT lattice parameters and positions (PBE) and Cu Kα (weighted mean of Kα1 and Kα2).

Crystal structure
a b c (Å): 3.3888 5.3053 7.0352
angles (deg): 70.46 77.08 71.96
Space group P1 (No. 1)
Asymmetric unit:
1 Cs 0.0000 0.0000 0.0000
2 Sb 0.5680 0.3750 0.4212
3 H 0.2922 0.6520 0.7192
4 H 0.6912 0.9654 0.6065
5 Pt 0.8567 0.6236 0.6146

Largest 10 diffraction maxima, in order of rising 2θ, 2θ from 10° to 80°:
- d = 6.570 Å, rel. 46
- d = 4.567 Å, rel. 38
- d = 3.451 Å, rel. 100
- d = 3.285 Å, rel. 26
- d = 3.193 Å, rel. 25
- d = 3.172 Å, rel. 31
- d = 3.160 Å, rel. 34
- d = 2.732 Å, rel. 36
- d = 2.684 Å, rel. 28
- d = 2.221 Å, rel. 28


Entry 6:
Diffraction record for CsSbH2Pt. The powder X-ray diffraction pattern is computed, not measured: it uses DFT lattice parameters and positions (PBE) and Cu Kα (weighted mean of Kα1 and Kα2).

Crystal structure
a b c (Å): 7.4889 5.0506 6.4475
angles (deg): 90.00 109.06 90.00
Space group Cm (No. 8)
Asymmetric unit:
1 Cs 0.0000 0.0000 0.0000
2 Sb 0.4712 0.0000 0.4612
3 H 0.0549 0.0000 0.4916
4 H 0.0622 0.5000 0.7518
5 Pt 0.3288 0.5000 0.4410

Largest 10 diffraction maxima, in order of rising 2θ, 2θ from 10° to 80°:
- d = 6.094 Å, rel. 100
- d = 4.111 Å, rel. 68
- d = 3.754 Å, rel. 49
- d = 3.539 Å, rel. 45
- d = 3.143 Å, rel. 73
- d = 3.047 Å, rel. 91
- d = 2.704 Å, rel. 61
- d = 2.525 Å, rel. 61
- d = 2.234 Å, rel. 80
- d = 1.944 Å, rel. 50


Entry 7:
Diffraction record for CsSbH2Pt. The powder X-ray diffraction pattern is computed, not measured: it uses DFT lattice parameters and positions (PBE) and Cu Kα (weighted mean of Kα1 and Kα2).

Crystal structure
a b c (Å): 4.4879 4.4887 6.1698
angles (deg): 87.88 87.79 68.03
Space group P1 (No. 1)
Asymmetric unit:
1 Cs 0.0000 0.0000 0.0000
2 Sb 0.6754 0.6714 0.5326
3 H 0.0813 0.0766 0.4741
4 H 0.4948 0.4911 0.3106
5 Pt 0.2978 0.2935 0.4651

Largest 10 diffraction maxima, in order of rising 2θ, 2θ from 10° to 80°:
- d = 6.163 Å, rel. 67
- d = 3.490 Å, rel. 41
- d = 3.409 Å, rel. 100
- d = 3.249 Å, rel. 73
- d = 3.120 Å, rel. 41
- d = 3.082 Å, rel. 70
- d = 2.510 Å, rel. 59
- d = 2.222 Å, rel. 55
- d = 1.987 Å, rel. 37
- d = 1.947 Å, rel. 38


Entry 8:
Diffraction record for CsSbH2Pt. The powder X-ray diffraction pattern is computed, not measured: it uses DFT lattice parameters and positions (PBE) and Cu Kα (weighted mean of Kα1 and Kα2).

Crystal structure
a b c (Å): 14.2010 3.8656 3.7812
angles (deg): 90.00 90.52 90.00
Space group Cm (No. 8)
Asymmetric unit:
1 Cs 0.0000 0.0000 0.0000
2 Sb 0.2358 0.5000 0.9923
3 H 0.1786 0.0000 0.4926
4 H 0.4135 0.0000 0.4969
5 Pt 0.2933 0.0000 0.4944

Largest 10 diffraction maxima, in order of rising 2θ, 2θ from 10° to 80°:
- d = 7.100 Å, rel. 62
- d = 3.550 Å, rel. 54
- d = 3.350 Å, rel. 16
- d = 3.325 Å, rel. 17
- d = 2.994 Å, rel. 50
- d = 2.655 Å, rel. 100
- d = 2.354 Å, rel. 17
- d = 2.341 Å, rel. 18
- d = 1.964 Å, rel. 16
- d = 1.796 Å, rel. 22